Starting from a DFT-relaxed cell (GGA-PBE, the Materials Project), the X-ray diffraction stick pattern of Rb2Hf2O5 was simulated for Cu Kα, 1.54184 Å.

Top 12 peaks for 2θ from 5° to 70°, sorted by position:
2θ (°), I_rel
9.7, 8
19.4, 12
21.9, 16
29.4, 100
31.1, 40
36.9, 8
39.5, 12
44.6, 24
51.1, 14
54.3, 37
61.1, 13
64.9, 8

Crystal structure
Cell lengths 4.062, 4.062, 9.137 Å; angles 90.00, 90.00, 90.00 degrees
Fractional positions:
Rb1 0.000 0.000 0.000
Rb2 0.000 0.000 0.500
Hf1 0.500 0.500 0.220
Hf2 0.500 0.500 0.780
O1 0.000 0.500 0.265
O2 0.000 0.500 0.735
O3 0.500 0.000 0.265
O4 0.500 0.000 0.735
O5 0.500 0.500 0.000

Starting from a DFT-relaxed cell (GGA-PBE, the Materials Project), the X-ray diffraction stick pattern of Mg3Si2 was simulated for Cu Kα, 1.54184 Å.

Top 12 peaks for 2θ from 5° to 70°, sorted by position:
2θ (°), I_rel
22.9, 34
34.0, 83
35.3, 100
38.2, 25
38.3, 84
39.3, 40
40.4, 41
40.8, 60
41.2, 69
46.7, 29
56.4, 28
60.6, 27

Crystal structure
Cell lengths 5.210, 5.210, 4.391 Å; angles 112.48, 112.48, 96.62 degrees
Fractional positions:
Mg1 0.000 0.000 0.000
Mg2 0.296 0.704 0.500
Mg3 0.704 0.296 0.500
Si1 0.292 0.292 0.773
Si2 0.708 0.708 0.227